Entry 1:
Structure and computed powder diffractogram of TbThTeN2 (a GGA-PBE-relaxed structure; CuKα).
Neutral-atom scattering factors, no anomalous dispersion.

Most intense lines, 10 to 80 degrees two-theta, low angle first:
2θ/deg  Rel. int.  h k l
12.7  398  1 0 0
25.2  968  1 1 0
29.0  992  2 0 -2
29.6  1000  1 0 2
31.6  817  1 1 -2
31.8  588  0 1 2
33.7  948  2 1 0
38.8  412  3 0 0
44.0  389  0 2 0
44.8  489  1 0 -4

Cell and atoms:
```
TbThTeN2
1.0
7.297 0.000 0.000
0.000 4.112 0.000
-2.413 0.000 7.727
Tb Th Te N
2 2 2 4
Direct
0.148 0.250 0.414
0.852 0.750 0.586
0.166 0.250 0.921
0.834 0.750 0.079
0.457 0.750 0.251
0.543 0.250 0.749
0.006 0.250 0.630
0.016 0.750 0.883
0.984 0.250 0.117
0.994 0.750 0.370
```

Entry 2:
Structure and computed powder diffractogram of TbNi3B (a GGA-PBE-relaxed structure; CuKα).
Neutral-atom scattering factors, no anomalous dispersion.

Most intense lines, 10 to 80 degrees two-theta, low angle first:
2θ/deg  Rel. int.  h k l
22.1  176  1 0 0
31.4  222  1 1 0
38.7  1000  1 1 1
45.0  526  2 0 0
50.7  89  2 1 0
55.9  89  2 1 1
65.6  326  2 2 0
70.1  45  3 0 0
74.5  40  3 1 0
78.8  350  3 1 1

Cell and atoms:
```
TbNi3B
1.0
4.027 0.000 0.000
0.000 4.027 0.000
0.000 0.000 4.027
Tb Ni B
1 3 1
Direct
0.000 0.000 0.000
0.000 0.500 0.500
0.500 0.000 0.500
0.500 0.500 0.000
0.500 0.500 0.500
```

Entry 3:
Structure and computed powder diffractogram of Sr3Mo5 (a GGA-PBE-relaxed structure; CuKα).
Neutral-atom scattering factors, no anomalous dispersion.

Most intense lines, 10 to 80 degrees two-theta, low angle first:
2θ/deg  Rel. int.  h k l
10.9  1000  0 1 0
11.3  889  0 1 1
30.7  265  -1 2 2
31.2  273  0 3 2
33.7  625  0 1 -3
34.3  262  0 3 3
34.5  320  2 0 1
36.5  273  1 2 4
37.0  428  2 0 2
41.3  325  2 -1 2

Cell and atoms:
```
Sr3Mo5
1.0
5.277 0.000 0.000
0.987 8.758 0.000
1.798 3.988 9.639
Sr Mo
6 10
Direct
0.000 0.000 0.000
0.085 0.625 0.878
0.208 0.989 0.375
0.474 0.676 0.182
0.567 0.304 0.098
0.653 0.755 0.626
0.209 0.567 0.535
0.214 0.328 0.457
0.429 0.090 0.694
0.470 0.303 0.784
0.677 0.431 0.526
0.697 0.206 0.435
0.917 0.665 0.348
0.937 0.100 0.665
0.975 0.438 0.256
0.984 0.338 0.742
```

Entry 4:
Structure and computed powder diffractogram of Sb2O3 (a GGA-PBE-relaxed structure; CuKα).
Neutral-atom scattering factors, no anomalous dispersion.

Most intense lines, 10 to 80 degrees two-theta, low angle first:
2θ/deg  Rel. int.  h k l
16.1  116  1 1 0
27.2  840  0 2 2
27.5  1000  2 0 2
29.6  486  0 0 4
32.6  429  2 2 0
44.6  393  2 2 4
51.1  144  0 2 6
51.3  137  2 0 6
54.8  118  2 4 2
55.3  186  4 2 2

Cell and atoms:
```
Sb2O3
1.0
7.713 0.000 0.000
0.000 7.827 0.000
0.000 0.000 12.052
Sb O
16 24
Direct
0.004 0.010 0.238
0.038 0.571 0.759
0.221 0.249 0.016
0.230 0.285 0.485
0.270 0.715 0.985
0.279 0.751 0.516
0.462 0.429 0.259
0.496 0.990 0.738
0.504 0.490 0.762
0.538 0.929 0.241
0.721 0.251 0.984
0.730 0.215 0.515
0.770 0.785 0.015
0.779 0.749 0.484
0.962 0.071 0.741
0.996 0.510 0.262
0.018 0.359 0.397
0.054 0.222 0.143
0.070 0.690 0.612
0.133 0.770 0.849
0.145 0.491 0.994
0.247 0.572 0.250
0.253 0.428 0.750
0.355 0.509 0.494
0.367 0.230 0.349
0.430 0.310 0.112
0.446 0.778 0.643
0.482 0.641 0.897
0.518 0.141 0.603
0.554 0.278 0.857
0.570 0.810 0.388
0.633 0.730 0.151
0.645 0.009 0.006
0.747 0.928 0.750
0.753 0.072 0.250
0.855 0.991 0.506
0.867 0.270 0.651
0.930 0.190 0.888
0.946 0.722 0.357
0.982 0.859 0.103
```